Computed powder XRD pattern of NdY14Th for copper Kα, from a cell relaxed with GGA-PBE.

Structure:
abc: 7.1748 7.1748 10.1061
angles: 90.00 90.00 90.00
Fractional coordinates of all 16 atoms:
Nd1 0.0000 0.0000 0.0000
Y1 0.0000 0.0000 0.5000
Y2 0.0000 0.5000 0.0000
Y3 0.0000 0.5000 0.5000
Y4 0.2527 0.2527 0.2491
Y5 0.2527 0.2527 0.7509
Y6 0.2527 0.7473 0.2491
Y7 0.2527 0.7473 0.7509
Y8 0.5000 0.0000 0.0000
Y9 0.5000 0.0000 0.5000
Y10 0.5000 0.5000 0.5000
Y11 0.7473 0.2527 0.2491
Y12 0.7473 0.2527 0.7509
Y13 0.7473 0.7473 0.2491
Y14 0.7473 0.7473 0.7509
Th1 0.5000 0.5000 0.0000

Peak list (10 most intense, 2θ = 10–80°, by angle)
index, Position (°2θ), I (rel.)
1 1 1, 19.6, 4
2 0 2, 30.6, 100
2 2 0, 35.4, 34
0 0 4, 35.5, 17
4 0 0, 50.9, 12
2 2 4, 51.0, 23
4 2 2, 60.6, 27
2 0 6, 60.7, 14
4 0 4, 63.6, 12
4 4 0, 74.9, 4